(1)
Structure and computed powder diffraction line list of AcSiPt4 (a structure optimized by DFT (PBE); Cu Kα (weighted mean of Kα1 and Kα2)).

Cell and atoms:
```
data_AcSiPt4
_chemical_formula_sum 'Ac2 Si2 Pt8'
_cell_length_a 7.899
_cell_length_b 3.963
_cell_length_c 7.202
_cell_angle_alpha 90.00
_cell_angle_beta 90.00
_cell_angle_gamma 90.00
_symmetry_space_group_name_H-M 'P m m a'
_symmetry_Int_Tables_number 51
loop_
_symmetry_equiv_pos_as_xyz
'x,y,z'
'-x,-y,-z'
'-x+1/2,-y,z'
'x+1/2,y,-z'
'x+1/2,-y,-z'
'-x+1/2,y,z'
'-x,y,-z'
'x,-y,z'
loop_
_atom_site_label
_atom_site_type_symbol
_atom_site_fract_x
_atom_site_fract_y
_atom_site_fract_z
Ac1 Ac 0.250 0.000 0.129
Si1 Si 0.250 0.000 0.695
Pt1 Pt 0.000 0.000 0.500
Pt2 Pt 0.063 0.500 0.806
Pt3 Pt 0.250 0.500 0.469
```

Peak list (10 most intense, 2θ = 15–90°, by angle)
2θ (°), I/Imax, (hkl)
28.07, 24, 1 1 1
33.64, 14, 0 1 2
34.39, 100, 2 1 1
35.55, 40, 1 1 2
36.33, 29, 3 0 1
37.46, 36, 0 0 3
40.85, 61, 2 1 2
45.79, 31, 0 2 0
59.80, 14, 3 2 1
60.59, 18, 0 2 3

***

(2)
Structure and computed powder diffraction line list of PuZrRuRh (a structure optimized by DFT (PBE); Cu Kα (weighted mean of Kα1 and Kα2)).

Cell and atoms:
```
data_PuZrRuRh
_chemical_formula_sum 'Pu4 Zr4 Ru4 Rh4'
_cell_length_a 6.692
_cell_length_b 6.692
_cell_length_c 6.692
_cell_angle_alpha 90.00
_cell_angle_beta 90.00
_cell_angle_gamma 90.00
_symmetry_space_group_name_H-M 'F -4 3 m'
_symmetry_Int_Tables_number 216
_symmetry_space_group_name_Hall 'F -4 2 3'
loop_
_atom_site_label
_atom_site_type_symbol
_atom_site_fract_x
_atom_site_fract_y
_atom_site_fract_z
Pu1 Pu 0.000 0.000 0.000
Zr1 Zr 0.000 0.000 0.500
Ru1 Ru 0.250 0.250 0.250
Rh1 Rh 0.250 0.250 0.750
```

Peak list (10 most intense, 2θ = 15–90°, by angle)
2θ (°), I/Imax, (hkl)
23.02, 16, 1 1 1
26.64, 6, 2 0 0
38.03, 100, 2 2 0
44.92, 9, 3 1 1
54.88, 17, 4 0 0
60.28, 4, 3 3 1
68.71, 35, 4 2 2
73.54, 3, 5 1 1
81.33, 11, 4 4 0
85.92, 3, 5 3 1

***

(3)
Structure and computed powder diffraction line list of Pm4ErTm4 (a structure optimized by DFT (PBE); Cu Kα (weighted mean of Kα1 and Kα2)).

Cell and atoms:
```
data_Pm4ErTm4
_chemical_formula_sum 'Pm8 Er2 Tm8'
_cell_length_a 10.700
_cell_length_b 10.700
_cell_length_c 5.029
_cell_angle_alpha 90.00
_cell_angle_beta 90.00
_cell_angle_gamma 90.00
_symmetry_space_group_name_H-M 'I 4/m m m'
_symmetry_Int_Tables_number 139
_symmetry_space_group_name_Hall '-I 4 2'
loop_
_atom_site_label
_atom_site_type_symbol
_atom_site_fract_x
_atom_site_fract_y
_atom_site_fract_z
Pm1 Pm 0.000 0.330 0.000
Er1 Er 0.000 0.000 0.000
Tm1 Tm 0.166 0.166 0.500
```

Peak list (10 most intense, 2θ = 15–90°, by angle)
2θ (°), I/Imax, (hkl)
30.73, 100, 3 0 1
35.60, 34, 3 3 0
35.71, 17, 0 0 2
51.28, 36, 6 0 0
60.93, 29, 6 3 1
61.08, 14, 3 0 3
64.01, 12, 6 0 2
83.57, 6, 9 0 1
83.70, 12, 6 3 3
86.27, 11, 9 3 0

***

(4)
Structure and computed powder diffraction line list of K2Hg2Te3 (a structure optimized by DFT (PBE); Cu Kα (weighted mean of Kα1 and Kα2)).

Cell and atoms:
```
data_K2Hg2Te3
_chemical_formula_sum 'K16 Hg16 Te24'
_cell_length_a 17.893
_cell_length_b 16.497
_cell_length_c 8.152
_cell_angle_alpha 90.00
_cell_angle_beta 117.08
_cell_angle_gamma 90.00
_symmetry_space_group_name_H-M 'C 1 2/c 1'
_symmetry_Int_Tables_number 15
loop_
_symmetry_equiv_pos_as_xyz
'x,y,z'
'-x,-y,-z'
'-x,y,-z+1/2'
'x,-y,z+1/2'
'x+1/2,y+1/2,z'
'-x+1/2,-y+1/2,-z'
'-x+1/2,y+1/2,-z+1/2'
'x+1/2,-y+1/2,z+1/2'
loop_
_atom_site_label
_atom_site_type_symbol
_atom_site_fract_x
_atom_site_fract_y
_atom_site_fract_z
K1 K 0.000 0.070 0.250
K2 K 0.000 0.213 0.750
K3 K 0.118 0.415 0.099
Hg1 Hg 0.180 0.227 0.609
Hg2 Hg 0.221 0.079 0.136
Te1 Te 0.107 0.376 0.648
Te2 Te 0.140 0.214 0.221
Te3 Te 0.155 0.070 0.736
```

Peak list (10 most intense, 2θ = 15–90°, by angle)
2θ (°), I/Imax, (hkl)
16.27, 38, 0 2 1
19.47, 75, 1 3 -1
21.81, 82, 2 0 -2
22.47, 63, 3 3 -1
28.53, 39, 5 1 0
29.53, 84, 4 4 -1
32.56, 43, 0 6 0
36.90, 100, 3 3 -3
38.64, 55, 1 7 0
39.27, 54, 7 3 -1